Entry 1:
For SrAlBiO4, a DFT-relaxed cell (GGA-PBE, Alexandria) gives the theoretical X-ray diffraction stick pattern in this record (a wavelength of 1.5418 Å).

Most intense lines, 10 to 90 degrees two-theta, in order of rising 2θ:
d [Å], two_theta, Rel. int.
4.280, 20.75, 100.0
4.041, 22.00, 40.5
3.122, 28.59, 58.4
3.027, 29.51, 91.3
2.857, 31.31, 88.6
2.471, 36.36, 27.2
2.236, 40.34, 30.9
2.140, 42.23, 33.2
1.747, 52.37, 24.7
1.555, 59.43, 28.4

Structural model:
```
14
Lattice="3.1221 -4.8195 0.0000 3.1221 4.8195 0.0000 0.0000 0.0000 7.4156" Properties=species:S:1:pos:R:3 pbc="T T T"
Sr 0.0000 0.0000 0.0000
Sr 0.0000 0.0000 3.7078
Al 3.1221 1.3524 5.5617
Al 3.1221 -1.3524 1.8539
Bi 3.1221 1.6325 1.8539
Bi 3.1221 -1.6325 5.5617
O 3.1221 2.3112 4.0972
O 3.1221 2.3112 7.0262
O 1.7688 0.1102 5.5617
O 1.7688 -0.1102 1.8539
O 4.4753 0.1102 5.5617
O 4.4753 -0.1102 1.8539
O 3.1221 -2.3112 0.3894
O 3.1221 -2.3112 3.3184
```



Entry 2:
For AlTcBiO6, a DFT-relaxed cell (GGA-PBE, Alexandria) gives the theoretical X-ray diffraction stick pattern in this record (a wavelength of 1.5418 Å).

Most intense lines, 10 to 90 degrees two-theta, in order of rising 2θ:
d [Å], two_theta, Rel. int.
4.421, 20.08, 24.9
3.298, 27.04, 100.0
2.553, 35.16, 26.5
2.160, 41.81, 11.3
2.019, 44.90, 24.1
1.777, 51.41, 30.3
1.583, 58.27, 23.7
1.546, 59.80, 10.4
1.474, 63.08, 9.4
1.190, 80.73, 9.9

Structural model:
```
9
Lattice="5.1051 0.0000 0.0000 -2.5526 4.4212 0.0000 0.0000 0.0000 4.9521" Properties=species:S:1:pos:R:3 pbc="T T T"
Al 0.0000 0.0000 0.0000
Tc 0.0000 2.9475 0.0000
Bi 2.5526 1.4737 2.4760
O -0.6468 1.4583 1.0557
O -1.6131 3.1319 3.8964
O 0.6468 1.4583 3.8964
O -0.9663 4.2522 1.0557
O 1.6131 3.1319 1.0557
O 0.9663 4.2522 3.8964
```



Entry 3:
For Y2AlBiO6, a DFT-relaxed cell (GGA-PBE, Alexandria) gives the theoretical X-ray diffraction stick pattern in this record (a wavelength of 1.5418 Å).

Most intense lines, 10 to 90 degrees two-theta, in order of rising 2θ:
d [Å], two_theta, Rel. int.
5.300, 16.73, 47.0
3.750, 23.73, 33.2
3.060, 29.18, 100.0
2.647, 33.87, 32.7
2.375, 37.89, 16.1
2.368, 38.01, 11.5
2.164, 41.74, 24.9
1.874, 48.59, 47.8
1.767, 51.74, 16.7
1.597, 57.74, 29.5

Structural model:
```
10
Lattice="5.2939 0.0000 0.0000 0.0000 5.2939 0.0000 0.0000 0.0000 5.3143" Properties=species:S:1:pos:R:3 pbc="T T T"
Y 0.0000 2.6470 0.0000
Y 2.6470 0.0000 0.0000
Al 0.0000 0.0000 3.3085
Bi 2.6470 2.6470 3.0040
O 0.0000 0.0000 1.5063
O 1.2266 1.2266 4.0464
O 1.2266 4.0673 4.0464
O 2.6470 2.6470 0.7169
O 4.0673 1.2266 4.0464
O 4.0673 4.0673 4.0464
```



Entry 4:
For PrAlBi2, a DFT-relaxed cell (GGA-PBE, Alexandria) gives the theoretical X-ray diffraction stick pattern in this record (a wavelength of 1.5418 Å).

Most intense lines, 10 to 90 degrees two-theta, in order of rising 2θ:
d [Å], two_theta, Rel. int.
4.706, 18.86, 15.0
3.477, 25.62, 15.0
2.796, 32.00, 100.0
2.459, 36.55, 35.2
2.353, 38.25, 15.6
1.739, 52.65, 12.6
1.700, 53.94, 23.4
1.476, 62.95, 29.6
1.430, 65.26, 13.3
1.104, 88.55, 12.5

Structural model:
```
4
Lattice="4.9173 0.0000 0.0000 0.0000 4.9173 0.0000 0.0000 0.0000 4.7057" Properties=species:S:1:pos:R:3 pbc="T T T"
Pr 0.0000 0.0000 0.0000
Al 2.4587 2.4587 0.0000
Bi 0.0000 2.4587 2.3528
Bi 2.4587 0.0000 2.3528
```



Entry 5:
For RbAlBi3, a DFT-relaxed cell (GGA-PBE, Alexandria) gives the theoretical X-ray diffraction stick pattern in this record (a wavelength of 1.5418 Å).

Most intense lines, 10 to 90 degrees two-theta, in order of rising 2θ:
d [Å], two_theta, Rel. int.
5.728, 15.47, 17.0
4.941, 17.95, 19.3
4.664, 19.03, 32.7
3.641, 24.45, 47.8
3.254, 27.41, 22.8
2.925, 30.57, 100.0
2.912, 30.70, 23.5
2.361, 38.11, 19.8
2.041, 44.38, 15.9
1.834, 49.71, 13.0

Structural model:
```
10
Lattice="7.2572 0.0000 0.0000 0.0000 9.3290 0.0000 0.0000 0.0000 5.8245" Properties=species:S:1:pos:R:3 pbc="T T T"
Rb 0.0000 0.7779 0.0000
Rb 3.6286 8.5511 2.9122
Al 0.0000 4.9504 1.7463
Al 3.6286 4.3786 4.6585
Bi 0.0000 7.1826 3.4007
Bi 1.7857 2.9969 2.8304
Bi 1.8429 6.3321 5.7426
Bi 3.6286 2.1464 0.4885
Bi 5.4143 6.3321 5.7426
Bi 5.4715 2.9969 2.8304
```



Entry 6:
For Rb6AlBi4, a DFT-relaxed cell (GGA-PBE, Alexandria) gives the theoretical X-ray diffraction stick pattern in this record (a wavelength of 1.5418 Å).

Most intense lines, 10 to 90 degrees two-theta, in order of rising 2θ:
d [Å], two_theta, Rel. int.
6.656, 13.30, 39.0
4.469, 19.86, 60.4
3.591, 24.79, 67.7
3.328, 26.79, 100.0
3.230, 27.62, 86.2
3.016, 29.62, 95.4
2.914, 30.68, 58.7
2.775, 32.25, 43.1
1.842, 49.49, 58.4
1.642, 56.02, 44.5

Structural model:
```
22
Lattice="12.0626 0.0000 0.0000 -6.0313 10.4465 0.0000 0.0000 0.0000 8.6365" Properties=species:S:1:pos:R:3 pbc="T T T"
Rb -2.6170 5.4535 0.0000
Rb 0.0000 3.0206 2.4645
Rb -3.4154 8.9362 2.4645
Rb 2.6159 1.5103 6.7828
Rb 2.6170 5.4535 0.0000
Rb 0.0000 9.9862 0.0000
Rb 6.0313 0.4604 4.3182
Rb 3.4143 4.9931 4.3182
Rb 3.4154 8.9362 2.4645
Rb 9.4467 1.5103 6.7828
Rb 6.0313 7.4259 6.7828
Rb 8.6483 4.9931 4.3182
Al 0.0000 6.9644 5.8191
Al 6.0313 3.4822 1.5009
Bi 0.0000 4.1826 6.0821
Bi -2.4090 8.3552 6.0821
Bi 0.0000 6.9644 2.9926
Bi 3.6223 2.0913 1.7639
Bi 2.4090 8.3552 6.0821
Bi 6.0313 3.4822 7.3108
Bi 8.4403 2.0913 1.7639
Bi 6.0313 6.2639 1.7639
```